(1)
Diffraction record for NaPaReN4. The powder diffraction line list is theoretical, not measured: it uses the PBE geometry in Alexandria and Cu Ka.
No peak broadening, texture or thermal motion is included.

Atomic structure:
```
data_NaPaReN4
_cell_length_a 6.189
_cell_length_b 5.788
_cell_length_c 7.165
_cell_angle_alpha 90.00
_cell_angle_beta 90.89
_cell_angle_gamma 90.00
_symmetry_space_group_name_H-M 'P 1 21/m 1'
_symmetry_Int_Tables_number 11
loop_
_symmetry_equiv_pos_as_xyz
'x,y,z'
'-x,-y,-z'
'-x,y+1/2,-z'
'x,-y+1/2,z'
loop_
_atom_site_label
_atom_site_fract_x
_atom_site_fract_y
_atom_site_fract_z
Na1 0.141 0.250 0.377
Pa1 0.321 0.250 0.933
Re1 0.183 0.750 0.150
N1 0.049 0.750 0.928
N2 0.051 0.250 0.698
N3 0.393 0.509 0.166
```

Top 10 peaks for 10 to 90 degrees two-theta, by intensity:
d 7.164, I 100
d 4.502, I 38
d 3.046, I 32
d 2.562, I 29
d 2.894, I 22
d 2.729, I 16
d 2.683, I 16
d 2.021, I 14
d 2.825, I 13
d 2.185, I 11

(2)
Diffraction record for KAgSn4. The powder diffraction line list is theoretical, not measured: it uses the PBE geometry in Alexandria and Cu Ka.
No peak broadening, texture or thermal motion is included.

Atomic structure:
```
data_KAgSn4
_cell_length_a 4.377
_cell_length_b 8.046
_cell_length_c 10.137
_cell_angle_alpha 90.00
_cell_angle_beta 90.00
_cell_angle_gamma 90.00
_symmetry_space_group_name_H-M 'I m m m'
_symmetry_Int_Tables_number 71
_symmetry_space_group_name_Hall '-I 2 2'
loop_
_atom_site_label
_atom_site_fract_x
_atom_site_fract_y
_atom_site_fract_z
K1 0.000 0.000 0.000
Ag1 0.000 0.500 0.000
Sn1 0.000 0.183 0.343
```

Top 10 peaks for 10 to 90 degrees two-theta, by intensity:
d 2.675, I 100
d 2.843, I 66
d 6.302, I 65
d 2.287, I 47
d 2.101, I 35
d 3.151, I 30
d 2.189, I 29
d 1.516, I 26
d 1.359, I 25
d 2.144, I 19

(3)
Diffraction record for ZrIF6. The powder diffraction line list is theoretical, not measured: it uses the PBE geometry in Alexandria and Cu Ka.
No peak broadening, texture or thermal motion is included.

Atomic structure:
```
data_ZrIF6
_cell_length_a 5.599
_cell_length_b 5.749
_cell_length_c 5.841
_cell_angle_alpha 84.90
_cell_angle_beta 62.41
_cell_angle_gamma 66.59
_symmetry_space_group_name_H-M 'P -1'
_symmetry_Int_Tables_number 2
loop_
_symmetry_equiv_pos_as_xyz
'x,y,z'
'-x,-y,-z'
loop_
_atom_site_label
_atom_site_fract_x
_atom_site_fract_y
_atom_site_fract_z
Zr1 0.000 0.000 0.000
I1 0.000 0.500 0.500
F1 0.181 0.740 0.688
F2 0.185 0.705 0.200
F3 0.348 0.085 0.835
```

Top 10 peaks for 10 to 90 degrees two-theta, by intensity:
d 4.541, I 100
d 4.173, I 73
d 3.472, I 62
d 3.905, I 62
d 3.044, I 48
d 2.888, I 39
d 1.833, I 27
d 1.953, I 22
d 2.075, I 22
d 2.214, I 21

(4)
Diffraction record for Sr7Ca5Ac. The powder diffraction line list is theoretical, not measured: it uses the PBE geometry in Alexandria and Cu Ka.
No peak broadening, texture or thermal motion is included.

Atomic structure:
```
data_Sr7Ca5Ac
_cell_length_a 7.452
_cell_length_b 13.026
_cell_length_c 13.840
_cell_angle_alpha 90.00
_cell_angle_beta 90.00
_cell_angle_gamma 90.00
_symmetry_space_group_name_H-M 'I m m 2'
_symmetry_Int_Tables_number 44
loop_
_symmetry_equiv_pos_as_xyz
'x,y,z'
'-x,-y,z'
'-x,y,z'
'x,-y,z'
'x+1/2,y+1/2,z+1/2'
'-x+1/2,-y+1/2,z+1/2'
'-x+1/2,y+1/2,z+1/2'
'x+1/2,-y+1/2,z+1/2'
loop_
_atom_site_label
_atom_site_fract_x
_atom_site_fract_y
_atom_site_fract_z
Sr1 0.000 0.000 0.000
Sr2 0.000 0.000 0.284
Sr3 0.000 0.319 0.154
Sr4 0.000 0.340 0.655
Sr5 0.000 0.500 0.390
Ca1 0.000 0.500 0.921
Ca2 0.245 0.240 0.410
Ac1 0.000 0.000 0.580
```

Top 10 peaks for 10 to 90 degrees two-theta, by intensity:
d 3.298, I 100
d 3.052, I 94
d 3.752, I 72
d 3.726, I 48
d 1.877, I 48
d 2.930, I 39
d 3.281, I 36
d 2.003, I 35
d 3.360, I 35
d 3.234, I 35

(5)
Diffraction record for Nd9Dy3Y2. The powder diffraction line list is theoretical, not measured: it uses the PBE geometry in Alexandria and Cu Ka.
No peak broadening, texture or thermal motion is included.

Atomic structure:
```
data_Nd9Dy3Y2
_cell_length_a 9.0808
_cell_length_b 9.0808
_cell_length_c 14.0711
_cell_angle_alpha 90.00
_cell_angle_beta 90.00
_cell_angle_gamma 120.00
_symmetry_space_group_name_H-M 'P 63/m'
_symmetry_Int_Tables_number 176
_symmetry_space_group_name_Hall '-P 6c'
loop_
_atom_site_label
_atom_site_fract_x
_atom_site_fract_y
_atom_site_fract_z
Nd1 0.0807 0.4812 0.2500
Nd2 0.1322 0.7259 0.0425
Dy1 0.0782 0.2495 0.7500
Y1 0.3333 0.6667 0.6421
```

Top 10 peaks for 10 to 90 degrees two-theta, by intensity:
d 2.738, I 100
d 2.908, I 68
d 3.013, I 40
d 3.518, I 31
d 2.511, I 30
d 1.716, I 29
d 2.650, I 21
d 1.542, I 18
d 1.724, I 17
d 1.384, I 15

(6)
Diffraction record for SmRuW. The powder diffraction line list is theoretical, not measured: it uses the PBE geometry in Alexandria and Cu Ka.
No peak broadening, texture or thermal motion is included.

Atomic structure:
```
data_SmRuW
_cell_length_a 4.881
_cell_length_b 9.202
_cell_length_c 21.091
_cell_angle_alpha 90.00
_cell_angle_beta 90.00
_cell_angle_gamma 90.00
_symmetry_space_group_name_H-M 'F d d d'
_symmetry_Int_Tables_number 70
loop_
_symmetry_equiv_pos_as_xyz
'x,y,z'
'-x,-y,-z'
'-x+1/4,-y+1/4,z'
'x+1/4,y+1/4,-z'
'x,-y+1/4,-z+1/4'
'-x,y+1/4,z+1/4'
'-x+1/4,y,-z+1/4'
'x+1/4,-y,z+1/4'
'x,y+1/2,z+1/2'
'-x,-y+1/2,-z+1/2'
'-x+1/4,-y+3/4,z+1/2'
'x+1/4,y+3/4,-z+1/2'
'x,-y+3/4,-z+3/4'
'-x,y+3/4,z+3/4'
'-x+1/4,y+1/2,-z+3/4'
'x+1/4,-y+1/2,z+3/4'
'x+1/2,y,z+1/2'
'-x+1/2,-y,-z+1/2'
'-x+3/4,-y+1/4,z+1/2'
'x+3/4,y+1/4,-z+1/2'
'x+1/2,-y+1/4,-z+3/4'
'-x+1/2,y+1/4,z+3/4'
'-x+3/4,y,-z+3/4'
'x+3/4,-y,z+3/4'
'x+1/2,y+1/2,z'
'-x+1/2,-y+1/2,-z'
'-x+3/4,-y+3/4,z'
'x+3/4,y+3/4,-z'
'x+1/2,-y+3/4,-z+1/4'
'-x+1/2,y+3/4,z+1/4'
'-x+3/4,y+1/2,-z+1/4'
'x+3/4,-y+1/2,z+1/4'
loop_
_atom_site_label
_atom_site_fract_x
_atom_site_fract_y
_atom_site_fract_z
Sm1 0.125 0.291 0.125
Ru1 0.125 0.125 0.555
W1 0.125 0.125 0.002
```

Top 10 peaks for 10 to 90 degrees two-theta, by intensity:
d 2.470, I 100
d 2.436, I 98
d 1.996, I 91
d 2.059, I 55
d 2.109, I 55
d 4.224, I 54
d 2.793, I 49
d 2.378, I 49
d 2.212, I 42
d 2.636, I 37

Please write out number 2 again, unchanged.
Diffraction record for KAgSn4. The powder diffraction line list is theoretical, not measured: it uses the PBE geometry in Alexandria and Cu Ka.
No peak broadening, texture or thermal motion is included.

Atomic structure:
```
data_KAgSn4
_cell_length_a 4.377
_cell_length_b 8.046
_cell_length_c 10.137
_cell_angle_alpha 90.00
_cell_angle_beta 90.00
_cell_angle_gamma 90.00
_symmetry_space_group_name_H-M 'I m m m'
_symmetry_Int_Tables_number 71
_symmetry_space_group_name_Hall '-I 2 2'
loop_
_atom_site_label
_atom_site_fract_x
_atom_site_fract_y
_atom_site_fract_z
K1 0.000 0.000 0.000
Ag1 0.000 0.500 0.000
Sn1 0.000 0.183 0.343
```

Top 10 peaks for 10 to 90 degrees two-theta, by intensity:
d 2.675, I 100
d 2.843, I 66
d 6.302, I 65
d 2.287, I 47
d 2.101, I 35
d 3.151, I 30
d 2.189, I 29
d 1.516, I 26
d 1.359, I 25
d 2.144, I 19